Starting from a crystal structure in the Materials Project, relaxed with GGA-PBE, the PXRD pattern of Ti2B was calculated for Cu Kα (λ = 1.5418 Å).
Neutral-atom scattering factors, no anomalous dispersion.

Top 10 peaks for 10° ≤ 2θ ≤ 80°, low angle first:
20.08 deg, rel. 10.4
28.55 deg, rel. 10.5
39.47 deg, rel. 100.0
45.90 deg, rel. 35.5
54.96 deg, rel. 3.2
59.09 deg, rel. 4.2
63.07 deg, rel. 8.5
65.97 deg, rel. 12.2
66.93 deg, rel. 13.3
77.91 deg, rel. 3.4

Cell and atoms:
```
data_Ti2B
_chemical_formula_sum 'Ti8 B4'
_space_group_name_H-M_alt 'I 4/m c m'
_space_group_IT_number 140
_space_group_name_Hall '-I 4 2c'
_cell_length_a 6.2534
_cell_length_b 6.2534
_cell_length_c 3.9530
_cell_angle_alpha 90.00
_cell_angle_beta 90.00
_cell_angle_gamma 90.00
loop_
_atom_site_label
_atom_site_fract_x
_atom_site_fract_y
_atom_site_fract_z
_atom_site_occupancy
Ti1 0.1580 0.3420 0.0000 1
B1 0.0000 0.0000 0.0000 1
```



Starting from a crystal structure in the Materials Project, relaxed with GGA-PBE, the PXRD pattern of Ba3MgRu2O9 was calculated for Cu Kα (λ = 1.5418 Å).
Neutral-atom scattering factors, no anomalous dispersion.

Top 10 peaks for 10° ≤ 2θ ≤ 80°, low angle first:
25.82 deg, rel. 28.8
30.53 deg, rel. 100.0
30.86 deg, rel. 45.2
36.41 deg, rel. 20.0
40.40 deg, rel. 23.3
43.96 deg, rel. 30.3
48.23 deg, rel. 13.2
54.26 deg, rel. 19.8
54.47 deg, rel. 17.5
63.55 deg, rel. 19.8

Cell and atoms:
```
data_Ba3MgRu2O9
_chemical_formula_sum 'Ba6 Mg2 Ru4 O18'
_space_group_name_H-M_alt 'P 63/m m c'
_space_group_IT_number 194
_space_group_name_Hall '-P 6c 2c'
_cell_length_a 5.8560
_cell_length_b 5.8560
_cell_length_c 14.1238
_cell_angle_alpha 90.00
_cell_angle_beta 90.00
_cell_angle_gamma 120.00
loop_
_atom_site_label
_atom_site_fract_x
_atom_site_fract_y
_atom_site_fract_z
_atom_site_occupancy
Ba1 0.0000 0.0000 0.2500 1
Ba2 0.3333 0.6667 0.0886 1
Mg1 0.0000 0.0000 0.0000 1
Ru1 0.3333 0.6667 0.6608 1
O1 0.0154 0.5077 0.7500 1
O2 0.1729 0.3458 0.5852 1
```



Starting from a crystal structure in the Materials Project, relaxed with GGA-PBE, the PXRD pattern of Na4Zn2P2SO12 was calculated for Cu Kα (λ = 1.5418 Å).
Neutral-atom scattering factors, no anomalous dispersion.

Top 10 peaks for 10° ≤ 2θ ≤ 80°, low angle first:
13.83 deg, rel. 38.5
19.52 deg, rel. 53.4
19.65 deg, rel. 55.4
22.97 deg, rel. 56.7
27.86 deg, rel. 46.0
31.27 deg, rel. 93.5
31.30 deg, rel. 85.5
31.45 deg, rel. 86.4
34.10 deg, rel. 100.0
34.26 deg, rel. 46.7

Cell and atoms:
```
data_Na4Zn2P2SO12
_chemical_formula_sum 'Na16 Zn8 P8 S4 O48'
_space_group_name_H-M_alt 'C 1 c 1'
_space_group_IT_number 9
_cell_length_a 15.6062
_cell_length_b 9.1240
_cell_length_c 8.9816
_cell_angle_alpha 90.00
_cell_angle_beta 124.75
_cell_angle_gamma 90.00
loop_
_space_group_symop_operation_xyz
'x,y,z'
'x,-y,z+1/2'
'x+1/2,y+1/2,z'
'x+1/2,-y+1/2,z+1/2'
loop_
_atom_site_label
_atom_site_fract_x
_atom_site_fract_y
_atom_site_fract_z
_atom_site_occupancy
Na1 0.0000 0.0591 0.0000 1
Na2 0.1936 0.3798 0.8698 1
Na3 0.3624 0.0704 0.7286 1
Na4 0.4326 0.2588 0.1105 1
Zn1 0.0954 0.2349 0.4738 1
Zn2 0.2824 0.2501 0.2731 1
P1 0.1872 0.0495 0.8684 1
P2 0.3344 0.3985 0.6641 1
S1 0.0380 0.3993 0.0718 1
O1 0.0330 0.4389 0.5469 1
O2 0.0361 0.3722 0.2333 1
O3 0.1107 0.1509 0.7039 1
O4 0.1126 0.0448 0.3901 1
O5 0.1321 0.3339 0.0949 1
O6 0.2355 0.3322 0.6390 1
O7 0.2586 0.0467 0.3402 1
O8 0.2635 0.1468 0.0375 1
O9 0.3358 0.3734 0.4948 1
O10 0.3408 0.4312 0.1892 1
O11 0.4281 0.3223 0.8383 1
O12 0.4477 0.1703 0.4031 1
```



Starting from a crystal structure in the Materials Project, relaxed with GGA-PBE, the PXRD pattern of Ba2SrI6 was calculated for Cu Kα (λ = 1.5418 Å).
Neutral-atom scattering factors, no anomalous dispersion.

Top 10 peaks for 10° ≤ 2θ ≤ 80°, low angle first:
14.66 deg, rel. 24.8
17.89 deg, rel. 34.2
23.46 deg, rel. 49.2
24.12 deg, rel. 100.0
30.84 deg, rel. 36.9
31.35 deg, rel. 55.8
36.29 deg, rel. 45.9
37.62 deg, rel. 17.7
40.87 deg, rel. 26.2
60.47 deg, rel. 18.8

Cell and atoms:
```
data_Ba2SrI6
_chemical_formula_sum 'Ba8 Sr4 I24'
_space_group_name_H-M_alt 'P b c n'
_space_group_IT_number 60
_cell_length_a 7.7941
_cell_length_b 28.6945
_cell_length_c 8.6787
_cell_angle_alpha 90.00
_cell_angle_beta 90.00
_cell_angle_gamma 90.00
loop_
_space_group_symop_operation_xyz
'x,y,z'
'-x,-y,-z'
'-x+1/2,-y+1/2,z+1/2'
'x+1/2,y+1/2,-z+1/2'
'x+1/2,-y+1/2,-z'
'-x+1/2,y+1/2,z'
'-x,y,-z+1/2'
'x,-y,z+1/2'
loop_
_atom_site_label
_atom_site_fract_x
_atom_site_fract_y
_atom_site_fract_z
_atom_site_occupancy
Ba1 0.0000 0.0495 0.2500 1
Ba2 0.0000 0.2839 0.7500 1
Sr1 0.0000 0.3834 0.2500 1
I1 0.2324 0.3716 0.5653 1
I2 0.2357 0.3003 0.0851 1
I3 0.2439 0.0389 0.5838 1
```



Starting from a crystal structure in the Materials Project, relaxed with GGA-PBE, the PXRD pattern of CeSe2 was calculated for Cu Kα (λ = 1.5418 Å).
Neutral-atom scattering factors, no anomalous dispersion.

Top 10 peaks for 10° ≤ 2θ ≤ 80°, low angle first:
17.34 deg, rel. 100.0
19.74 deg, rel. 66.8
27.22 deg, rel. 38.9
29.95 deg, rel. 58.1
35.56 deg, rel. 51.3
38.81 deg, rel. 41.6
39.42 deg, rel. 35.7
42.92 deg, rel. 55.6
45.91 deg, rel. 46.8
74.19 deg, rel. 29.2

Cell and atoms:
```
data_CeSe2
_chemical_formula_sum 'Ce12 Se24'
_space_group_name_H-M_alt 'C 1 2/c 1'
_space_group_IT_number 15
_cell_length_a 20.4570
_cell_length_b 7.9043
_cell_length_c 7.4882
_cell_angle_alpha 90.00
_cell_angle_beta 100.27
_cell_angle_gamma 90.00
loop_
_space_group_symop_operation_xyz
'x,y,z'
'-x,-y,-z'
'-x,y,-z+1/2'
'x,-y,z+1/2'
'x+1/2,y+1/2,z'
'-x+1/2,-y+1/2,-z'
'-x+1/2,y+1/2,-z+1/2'
'x+1/2,-y+1/2,z+1/2'
loop_
_atom_site_label
_atom_site_fract_x
_atom_site_fract_y
_atom_site_fract_z
_atom_site_occupancy
Ce1 0.0000 0.1401 0.2500 1
Ce2 0.1621 0.3583 0.8275 1
Se1 0.0733 0.1221 0.9603 1
Se2 0.0926 0.3716 0.4614 1
Se3 0.2411 0.3980 0.1799 1
```